Diffraction record for Mn3OF5. The X-ray powder pattern is calculated, not measured: it uses a structure optimized by DFT (PBE+U) and Cu Kα (λ = 1.5418 Å).

a b c (Å): 4.8853 5.8978 8.0939
angles (deg): 86.86 88.35 88.79
Atoms (fractional coordinates):
Mn: 0.0000 0.0000 0.0000
Mn: 0.0166 0.3145 0.6659
Mn: 0.4779 0.8461 0.6784
Mn: 0.5000 0.5000 0.0000
Mn: 0.5221 0.1539 0.3216
Mn: 0.9834 0.6855 0.3341
O: 0.1832 0.0344 0.7843
O: 0.8168 0.9656 0.2157
F: 0.1968 0.7068 0.0959
F: 0.2012 0.3749 0.4239
F: 0.2974 0.2014 0.0997
F: 0.3025 0.5342 0.7656
F: 0.3047 0.8706 0.4369
F: 0.6953 0.1294 0.5631
F: 0.6975 0.4658 0.2344
F: 0.7026 0.7986 0.9003
F: 0.7988 0.6251 0.5761
F: 0.8032 0.2932 0.9041

Most intense lines, 10 to 90 degrees two-theta, by angle:
- 25.36°, I = 100, (1 1 1)
- 26.23°, I = 95, (-1 1 1)
- 32.94°, I = 50, (1 -1 2)
- 33.28°, I = 51, (1 1 -2)
- 49.72°, I = 34, (2 0 3)
- 49.97°, I = 34, (2 2 -1)